Starting from a crystal structure in the Materials Project, relaxed with GGA-PBE, the X-ray powder pattern of TbNiGe was simulated for λ = 1.5418 Å (Cu Kα).
Neutral-atom scattering factors, no anomalous dispersion.

Structural model:
```
12
Lattice="10.292 0.000 0.000 0.000 4.171 0.000 -4.613 0.000 5.155" Properties=species:S:1:pos:R:3 pbc="T T T"
Tb -0.923 0.000 1.593
Tb 1.456 2.086 3.563
Tb 4.223 2.086 1.593
Tb 6.602 0.000 3.563
Ni -1.581 2.086 3.730
Ni 2.113 0.000 1.425
Ni 3.566 0.000 3.730
Ni 7.259 2.086 1.425
Ge 1.273 2.086 0.542
Ge -0.740 0.000 4.613
Ge 6.419 0.000 0.542
Ge 4.406 2.086 4.613
```

Most intense lines, 2θ from 10° to 90°, low angle first:
- 2θ 24.29, rel. 43
- 2θ 34.24, rel. 50
- 2θ 34.37, rel. 44
- 2θ 34.81, rel. 32
- 2θ 35.06, rel. 54
- 2θ 35.63, rel. 100
- 2θ 35.76, rel. 85
- 2θ 40.78, rel. 27
- 2θ 41.43, rel. 87
- 2θ 43.39, rel. 61
- 2θ 56.96, rel. 26
- 2θ 67.13, rel. 26

---

Starting from a crystal structure in the Materials Project, relaxed with GGA-PBE, the X-ray powder pattern of Rb3GaBr6 was simulated for λ = 1.5418 Å (Cu Kα).
Neutral-atom scattering factors, no anomalous dispersion.

Structural model:
```
10
Lattice="0.000 5.812 5.812 5.812 0.000 5.812 5.812 5.812 0.000" Properties=species:S:1:pos:R:3 pbc="T T T"
Rb 0.000 0.000 0.000
Rb 2.906 2.906 2.906
Rb 8.718 8.718 8.718
Ga 5.812 5.812 5.812
Br 5.812 5.812 3.243
Br 5.812 3.243 5.812
Br 8.381 5.812 5.812
Br 3.243 5.812 5.812
Br 5.812 8.381 5.812
Br 5.812 5.812 8.381
```

Most intense lines, 2θ from 10° to 90°, low angle first:
- 2θ 15.24, rel. 24
- 2θ 21.62, rel. 29
- 2θ 26.56, rel. 72
- 2θ 30.77, rel. 100
- 2θ 33.61, rel. 12
- 2θ 40.32, rel. 17
- 2θ 44.07, rel. 65
- 2θ 52.20, rel. 22
- 2θ 54.71, rel. 20
- 2θ 72.77, rel. 21
- 2θ 81.06, rel. 14
- 2θ 86.63, rel. 12

---

Starting from a crystal structure in the Materials Project, relaxed with GGA-PBE, the X-ray powder pattern of BOs3C10O10 was simulated for λ = 1.5418 Å (Cu Kα).
Neutral-atom scattering factors, no anomalous dispersion.

Structural model:
```
48
Lattice="7.690 0.000 0.000 2.683 9.104 0.000 3.838 1.097 12.494" Properties=species:S:1:pos:R:3 pbc="T T T"
B 3.382 2.624 4.311
B 10.829 7.578 8.182
Os 2.460 2.522 2.131
Os 3.815 4.491 3.296
Os 4.617 1.309 3.124
Os 9.594 8.893 9.370
Os 10.396 5.711 9.197
Os 11.752 7.679 10.362
C 3.748 4.265 8.622
C 2.777 2.336 5.614
C 1.673 0.802 2.414
C 5.546 6.601 9.840
C 1.974 2.570 0.295
C 4.997 4.829 4.756
C 4.728 5.497 1.906
C 8.497 9.225 10.940
C 8.241 8.801 8.033
C 7.054 8.611 3.584
C 7.157 1.591 8.910
C 5.971 1.401 4.461
C 5.714 0.977 1.554
C 9.484 4.705 10.588
C 9.214 5.373 7.738
C 12.237 7.632 12.198
C 8.666 3.601 2.654
C 12.538 9.400 10.080
C 11.434 7.866 6.880
C 10.463 5.937 3.872
O 4.254 8.118 5.865
O 3.796 8.930 2.717
O 5.505 3.703 11.662
O 4.467 3.416 8.276
O 7.736 9.414 11.798
O 6.483 6.065 9.400
O 5.672 5.003 5.686
O 7.435 8.742 7.195
O 5.363 6.139 1.175
O 6.795 7.506 3.847
O 7.416 2.695 8.647
O 8.849 4.063 11.319
O 6.776 1.459 5.299
O 8.540 5.199 6.808
O 7.728 4.137 3.094
O 6.476 0.788 0.696
O 9.745 6.786 4.218
O 8.706 6.499 0.832
O 10.415 1.272 9.777
O 9.957 2.084 6.628
```

Most intense lines, 2θ from 10° to 90°, low angle first:
- 2θ 11.54, rel. 50
- 2θ 12.58, rel. 100
- 2θ 13.76, rel. 67
- 2θ 14.18, rel. 87
- 2θ 15.85, rel. 53
- 2θ 22.60, rel. 32
- 2θ 27.50, rel. 19
- 2θ 28.49, rel. 19
- 2θ 29.13, rel. 21
- 2θ 31.64, rel. 17
- 2θ 32.70, rel. 15
- 2θ 40.33, rel. 14

---

Starting from a crystal structure in the Materials Project, relaxed with GGA-PBE, the X-ray powder pattern of Tl2S was simulated for λ = 1.5418 Å (Cu Kα).
Neutral-atom scattering factors, no anomalous dispersion.

Structural model:
```
27
Lattice="6.308 3.642 6.370 -6.308 3.642 6.370 0.000 -7.284 6.370" Properties=species:S:1:pos:R:3 pbc="T T T"
Tl -2.297 1.106 3.140
Tl 0.191 -2.542 3.140
Tl -4.139 -2.159 9.452
Tl -0.192 -5.056 6.370
Tl -4.283 2.694 6.370
Tl -1.906 -1.318 6.459
Tl -2.310 1.098 9.514
Tl 2.106 1.437 3.140
Tl 0.204 -2.550 9.514
Tl -0.189 2.310 6.459
Tl 2.095 -0.992 6.459
Tl -1.930 -1.299 12.834
Tl 3.939 -2.505 9.452
Tl 0.200 4.663 9.452
Tl 2.106 1.451 9.514
Tl -0.160 2.321 12.834
Tl 2.090 -1.022 12.834
Tl 4.475 2.362 6.370
S 0.000 0.000 4.574
S -2.100 -3.630 10.966
S -4.225 -0.001 11.617
S 0.000 0.000 10.941
S -2.093 3.634 10.966
S 2.113 -3.658 11.617
S 0.000 0.000 17.088
S 4.194 -0.004 10.966
S 2.112 3.659 11.617
```

Most intense lines, 2θ from 10° to 90°, low angle first:
- 2θ 24.44, rel. 16
- 2θ 28.02, rel. 21
- 2θ 28.23, rel. 100
- 2θ 31.66, rel. 6
- 2θ 37.52, rel. 20
- 2θ 43.02, rel. 21
- 2θ 49.71, rel. 20
- 2θ 52.12, rel. 18
- 2θ 52.26, rel. 16
- 2θ 67.80, rel. 6
- 2θ 69.92, rel. 9
- 2θ 74.79, rel. 7

---

Starting from a crystal structure in the Materials Project, relaxed with GGA-PBE, the X-ray powder pattern of NaTlPd2 was simulated for λ = 1.5418 Å (Cu Kα).
Neutral-atom scattering factors, no anomalous dispersion.

Structural model:
```
16
Lattice="6.670 0.000 0.000 0.000 6.670 0.000 0.000 0.000 6.670" Properties=species:S:1:pos:R:3 pbc="T T T"
Na 0.000 0.000 0.000
Na 0.000 3.335 3.335
Na 3.335 0.000 3.335
Na 3.335 3.335 0.000
Tl 0.000 0.000 3.335
Tl 0.000 3.335 0.000
Tl 3.335 0.000 0.000
Tl 3.335 3.335 3.335
Pd 1.668 1.668 1.668
Pd 1.668 1.668 5.003
Pd 1.668 5.003 1.668
Pd 1.668 5.003 5.003
Pd 5.003 1.668 1.668
Pd 5.003 1.668 5.003
Pd 5.003 5.003 1.668
Pd 5.003 5.003 5.003
```

Most intense lines, 2θ from 10° to 90°, low angle first:
- 2θ 23.09, rel. 38
- 2θ 38.16, rel. 100
- 2θ 45.08, rel. 20
- 2θ 55.07, rel. 17
- 2θ 60.50, rel. 9
- 2θ 68.97, rel. 35
- 2θ 73.82, rel. 7
- 2θ 81.65, rel. 11
- 2θ 86.27, rel. 7